For Gd3Y3Fe23, a crystal structure in the Materials Project, relaxed with PBE gives the calculated PXRD pattern in this record (λ = 1.5418 Å (Cu Kα)).
Kinematic intensities with the Lorentz-polarization factor, no thermal factor.

The 10 most intense peaks (10° ≤ 2θ ≤ 90°), low angle first:
25.6°, I 28; 29.7°, I 25; 36.5°, I 37; 38.8°, I 73; 38.9°, I 66; 42.4°, I 100; 42.5°, I 99; 45.2°, I 26; 65.8°, I 24; 77.8°, I 22

Crystal structure
Lattice parameters (Å, degrees): 8.526 8.526 8.526 59.84 59.84 59.84
Fractional positions:
Gd 0.052 0.474 0.474
Gd 0.474 0.052 0.474
Gd 0.474 0.474 0.052
Y 0.051 0.051 0.474
Y 0.051 0.474 0.051
Y 0.474 0.051 0.051
Fe 0.087 0.087 0.087
Fe 0.087 0.087 0.791
Fe 0.087 0.791 0.087
Fe 0.128 0.641 0.641
Fe 0.262 0.763 0.763
Fe 0.263 0.263 0.764
Fe 0.263 0.764 0.263
Fe 0.398 0.885 0.885
Fe 0.439 0.439 0.439
Fe 0.439 0.439 0.735
Fe 0.439 0.735 0.439
Fe 0.641 0.128 0.641
Fe 0.641 0.641 0.128
Fe 0.641 0.641 0.641
Fe 0.735 0.439 0.439
Fe 0.763 0.262 0.763
Fe 0.763 0.763 0.262
Fe 0.763 0.763 0.763
Fe 0.764 0.263 0.263
Fe 0.791 0.087 0.087
Fe 0.885 0.398 0.885
Fe 0.885 0.885 0.398
Fe 0.885 0.885 0.885

=====

For FeGe, a crystal structure in the Materials Project, relaxed with PBE gives the calculated PXRD pattern in this record (λ = 1.5418 Å (Cu Kα)).
Kinematic intensities with the Lorentz-polarization factor, no thermal factor.

The 10 most intense peaks (10° ≤ 2θ ≤ 90°), low angle first:
31.7°, I 27; 32.6°, I 28; 34.8°, I 30; 43.1°, I 24; 44.7°, I 27; 45.7°, I 100; 46.0°, I 84; 46.3°, I 66; 47.0°, I 69; 85.7°, I 24

Crystal structure
Lattice parameters (Å, degrees): 6.254 6.254 4.892 103.30 103.30 36.55
Fractional positions:
Fe 0.000 0.000 0.000
Fe 0.000 0.000 0.500
Fe 0.205 0.205 0.360
Fe 0.795 0.795 0.640
Ge 0.184 0.184 0.844
Ge 0.430 0.430 0.700
Ge 0.570 0.570 0.300
Ge 0.816 0.816 0.156

=====

For Fe3Ge2, a crystal structure in the Materials Project, relaxed with PBE gives the calculated PXRD pattern in this record (λ = 1.5418 Å (Cu Kα)).
Kinematic intensities with the Lorentz-polarization factor, no thermal factor.

The 10 most intense peaks (10° ≤ 2θ ≤ 90°), low angle first:
18.2°, I 7; 25.7°, I 24; 31.6°, I 25; 45.2°, I 96; 45.4°, I 100; 56.2°, I 5; 66.0°, I 31; 83.5°, I 15; 83.6°, I 31; 84.0°, I 15

Crystal structure
Lattice parameters (Å, degrees): 4.010 4.010 4.883 90.00 90.00 120.00
Fractional positions:
Fe 0.000 0.000 0.000
Fe 0.333 0.667 0.166
Fe 0.667 0.333 0.834
Ge 0.333 0.667 0.667
Ge 0.667 0.333 0.333

=====

For Fe3Ge2, a crystal structure in the Materials Project, relaxed with PBE gives the calculated PXRD pattern in this record (λ = 1.5418 Å (Cu Kα)).
Kinematic intensities with the Lorentz-polarization factor, no thermal factor.

The 10 most intense peaks (10° ≤ 2θ ≤ 90°), low angle first:
18.0°, I 6; 25.7°, I 7; 31.6°, I 19; 45.2°, I 100; 56.2°, I 4; 59.5°, I 4; 65.9°, I 15; 75.0°, I 3; 77.7°, I 3; 83.6°, I 22

Crystal structure
Lattice parameters (Å, degrees): 4.005 4.005 4.918 90.00 90.00 120.00
Fractional positions:
Fe 0.000 0.000 0.000
Fe 0.333 0.667 0.255
Fe 0.333 0.667 0.745
Ge 0.000 0.000 0.500
Ge 0.667 0.333 0.000

=====

For FeGe2, a crystal structure in the Materials Project, relaxed with PBE gives the calculated PXRD pattern in this record (λ = 1.5418 Å (Cu Kα)).
Kinematic intensities with the Lorentz-polarization factor, no thermal factor.

The 10 most intense peaks (10° ≤ 2θ ≤ 90°), low angle first:
27.5°, I 20; 27.8°, I 20; 30.9°, I 38; 34.0°, I 23; 35.4°, I 18; 43.9°, I 19; 44.7°, I 21; 46.1°, I 20; 46.3°, I 25; 46.7°, I 100

Crystal structure
Lattice parameters (Å, degrees): 6.644 6.644 8.245 90.00 90.00 75.14
Fractional positions:
Fe 0.197 0.803 0.812
Fe 0.218 0.218 0.000
Fe 0.282 0.282 0.500
Fe 0.303 0.697 0.312
Fe 0.697 0.303 0.688
Fe 0.718 0.718 0.500
Fe 0.782 0.782 0.000
Fe 0.803 0.197 0.188
Ge 0.086 0.166 0.731
Ge 0.101 0.645 0.544
Ge 0.145 0.601 0.044
Ge 0.166 0.086 0.269
Ge 0.334 0.414 0.769
Ge 0.355 0.899 0.544
Ge 0.399 0.855 0.044
Ge 0.414 0.334 0.231
Ge 0.586 0.666 0.769
Ge 0.601 0.145 0.956
Ge 0.645 0.101 0.456
Ge 0.666 0.586 0.231
Ge 0.834 0.914 0.731
Ge 0.855 0.399 0.956
Ge 0.899 0.355 0.456
Ge 0.914 0.834 0.269

=====

For FeGe2, a crystal structure in the Materials Project, relaxed with PBE gives the calculated PXRD pattern in this record (λ = 1.5418 Å (Cu Kα)).
Kinematic intensities with the Lorentz-polarization factor, no thermal factor.

The 10 most intense peaks (10° ≤ 2θ ≤ 90°), low angle first:
36.3°, I 9; 38.6°, I 100; 42.5°, I 31; 43.3°, I 9; 47.9°, I 27; 48.7°, I 37; 66.9°, I 19; 68.0°, I 11; 74.8°, I 13; 78.8°, I 18

Crystal structure
Lattice parameters (Å, degrees): 4.859 4.859 4.859 105.02 105.02 118.79
Fractional positions:
Fe 0.250 0.250 0.000
Fe 0.750 0.750 0.000
Ge 0.157 0.657 0.814
Ge 0.343 0.157 0.500
Ge 0.657 0.843 0.500
Ge 0.843 0.343 0.186

=====

For FeGe3, a crystal structure in the Materials Project, relaxed with PBE gives the calculated PXRD pattern in this record (λ = 1.5418 Å (Cu Kα)).
Kinematic intensities with the Lorentz-polarization factor, no thermal factor.

The 10 most intense peaks (10° ≤ 2θ ≤ 90°), low angle first:
36.7°, I 24; 37.6°, I 30; 41.4°, I 100; 53.5°, I 15; 66.0°, I 15; 70.4°, I 20; 78.5°, I 18; 80.1°, I 3; 81.0°, I 13; 89.9°, I 3

Crystal structure
Lattice parameters (Å, degrees): 5.661 5.661 4.790 90.00 90.00 120.00
Fractional positions:
Fe 0.333 0.667 0.250
Fe 0.667 0.333 0.750
Ge 0.175 0.350 0.750
Ge 0.175 0.825 0.750
Ge 0.350 0.175 0.250
Ge 0.650 0.825 0.750
Ge 0.825 0.175 0.250
Ge 0.825 0.650 0.250

=====

For Fe3Ge, a crystal structure in the Materials Project, relaxed with PBE gives the calculated PXRD pattern in this record (λ = 1.5418 Å (Cu Kα)).
Kinematic intensities with the Lorentz-polarization factor, no thermal factor.

The 6 most intense peaks (10° ≤ 2θ ≤ 90°), low angle first:
26.9°, I 1; 31.1°, I 1; 44.6°, I 100; 52.8°, I 1; 64.9°, I 15; 82.1°, I 30

Crystal structure
Lattice parameters (Å, degrees): 4.065 4.065 4.065 60.00 60.00 60.00
Fractional positions:
Fe 0.000 0.000 0.000
Fe 0.250 0.250 0.250
Fe 0.750 0.750 0.750
Ge 0.500 0.500 0.500

=====

For Fe3Ge, a crystal structure in the Materials Project, relaxed with PBE gives the calculated PXRD pattern in this record (λ = 1.5418 Å (Cu Kα)).
Kinematic intensities with the Lorentz-polarization factor, no thermal factor.

The 10 most intense peaks (10° ≤ 2θ ≤ 90°), low angle first:
29.1°, I 2; 34.9°, I 1; 40.5°, I 25; 42.9°, I 28; 46.1°, I 100; 60.4°, I 14; 73.6°, I 15; 80.8°, I 17; 87.5°, I 2; 89.1°, I 18

Crystal structure
Lattice parameters (Å, degrees): 5.147 5.147 4.218 90.00 90.00 120.00
Fractional positions:
Fe 0.163 0.325 0.250
Fe 0.163 0.837 0.250
Fe 0.325 0.163 0.750
Fe 0.675 0.837 0.250
Fe 0.837 0.163 0.750
Fe 0.837 0.675 0.750
Ge 0.333 0.667 0.750
Ge 0.667 0.333 0.250

=====

For Fe3Ge, a crystal structure in the Materials Project, relaxed with PBE gives the calculated PXRD pattern in this record (λ = 1.5418 Å (Cu Kα)).
Kinematic intensities with the Lorentz-polarization factor, no thermal factor.

The 8 most intense peaks (10° ≤ 2θ ≤ 90°), low angle first:
24.5°, I 1; 34.9°, I 1; 43.1°, I 100; 50.2°, I 47; 56.6°, I 1; 62.6°, I 1; 73.7°, I 27; 89.4°, I 33

Crystal structure
Lattice parameters (Å, degrees): 3.635 3.635 3.635 90.00 90.00 90.00
Fractional positions:
Fe 0.000 0.000 0.500
Fe 0.000 0.500 0.000
Fe 0.500 0.000 0.000
Ge 0.500 0.500 0.500

=====

For FeGe, a crystal structure in the Materials Project, relaxed with PBE gives the calculated PXRD pattern in this record (λ = 1.5418 Å (Cu Kα)).
Kinematic intensities with the Lorentz-polarization factor, no thermal factor.

The 10 most intense peaks (10° ≤ 2θ ≤ 90°), low angle first:
33.2°, I 17; 38.6°, I 10; 43.3°, I 100; 47.7°, I 54; 59.4°, I 7; 66.4°, I 10; 73.0°, I 4; 76.3°, I 33; 82.6°, I 8; 85.8°, I 6

Crystal structure
Lattice parameters (Å, degrees): 4.671 4.671 4.671 90.00 90.00 90.00
Fractional positions:
Fe 0.136 0.136 0.136
Fe 0.364 0.864 0.636
Fe 0.636 0.364 0.864
Fe 0.864 0.636 0.364
Ge 0.158 0.342 0.658
Ge 0.342 0.658 0.158
Ge 0.658 0.158 0.342
Ge 0.842 0.842 0.842

=====

For FeGe, a crystal structure in the Materials Project, relaxed with PBE gives the calculated PXRD pattern in this record (λ = 1.5418 Å (Cu Kα)).
Kinematic intensities with the Lorentz-polarization factor, no thermal factor.

The 10 most intense peaks (10° ≤ 2θ ≤ 90°), low angle first:
20.6°, I 16; 30.3°, I 28; 36.1°, I 30; 42.0°, I 22; 42.7°, I 24; 44.9°, I 31; 47.9°, I 100; 58.9°, I 14; 76.7°, I 17; 84.9°, I 17

Crystal structure
Lattice parameters (Å, degrees): 4.972 4.972 4.041 90.00 90.00 120.00
Fractional positions:
Fe 0.000 0.500 0.000
Fe 0.500 0.000 0.000
Fe 0.500 0.500 0.000
Ge 0.000 0.000 0.000
Ge 0.333 0.667 0.500
Ge 0.667 0.333 0.500